This entry pairs a crystal structure of Sr2UCdO6 with its computed XRD peak list. Radiation: Cu Kα, 1.54184 Å. Structure: DFT lattice parameters and positions (GGA-PBE).
Intensities are scaled so that the largest is 100.

Cell lengths 5.952, 6.120, 10.310 Å; angles 90.00, 124.55, 90.00 degrees
Element x y z (fractional)
Sr (0.231, 0.047, 0.244)
Sr (0.231, 0.453, 0.744)
Sr (0.769, 0.547, 0.256)
Sr (0.769, 0.953, 0.756)
U (0.500, 0.000, 0.000)
U (0.500, 0.500, 0.500)
Cd (0.000, 0.000, 0.500)
Cd (0.000, 0.500, 0.000)
O (0.171, 0.189, 0.956)
O (0.171, 0.311, 0.456)
O (0.250, 0.723, 0.937)
O (0.250, 0.777, 0.437)
O (0.368, 0.046, 0.766)
O (0.368, 0.454, 0.266)
O (0.632, 0.546, 0.734)
O (0.632, 0.954, 0.234)
O (0.750, 0.223, 0.563)
O (0.750, 0.277, 0.063)
O (0.829, 0.689, 0.544)
O (0.829, 0.811, 0.044)

Top 12 peaks for 10° ≤ 2θ ≤ 90°, low angle first:
Position (°2θ), intensity
17.86, 23
20.82, 38
29.18, 47
29.55, 100
29.82, 98
30.03, 46
42.37, 47
42.58, 25
51.97, 19
52.46, 22
52.85, 24
53.34, 34